Starting from the PBE+U geometry in the Materials Project, the powder XRD pattern of Ca2MnAl2Si4BO15 was calculated for Cu Kα, 1.54184 Å.

Crystal structure
abc: 7.324 8.866 9.327
angles: 88.01 76.44 81.48
Space group P-1 (No. 2)
Asymmetric unit:
Ca 0.166 0.395 0.090 x2
Ca 0.246 0.892 0.670 x2
Mn 0.233 0.618 0.402 x2
Al 0.050 0.241 0.820 x2
Al 0.343 0.083 0.939 x2
Si 0.216 0.277 0.453 x2
Si 0.222 0.982 0.274 x2
Si 0.303 0.513 0.741 x2
Si 0.359 0.729 0.980 x2
B 0.464 0.210 0.632 x2
O 0.025 0.928 0.262 x2
O 0.053 0.329 0.601 x2
O 0.103 0.184 0.995 x2
O 0.125 0.441 0.844 x2
O 0.147 0.154 0.354 x2
O 0.205 0.666 0.122 x2
O 0.230 0.636 0.625 x2
O 0.291 0.887 0.900 x2
O 0.327 0.143 0.739 x2
O 0.328 0.864 0.387 x2
O 0.382 0.002 0.126 x2
O 0.408 0.596 0.848 x2
O 0.422 0.196 0.481 x2
O 0.441 0.264 0.976 x2
O 0.471 0.376 0.657 x2

Principal peaks in the range 2θ = 10–80°, by angle:
2θ (°)	intensity
14.1	30
25.3	55
28.3	87
29.3	46
30.5	43
31.3	31
32.0	100
37.1	28
40.7	27
41.2	40